(1)
Diffraction record for NbVO4. The powder XRD pattern is theoretical, not measured: it uses DFT lattice parameters and positions (PBE+U) and Cu Kα.
No peak broadening, texture or thermal motion is included.

Cell lengths 3.964, 9.852, 7.929 Å; angles 90.00, 90.36, 90.00 degrees
Space group P2_1 (No. 4)
Unique sites:
Nb 0.231 0.000 0.384 (multiplicity 2)
Nb 0.231 0.000 0.884 (multiplicity 2)
V 0.257 0.250 0.128 (multiplicity 2)
V 0.259 0.250 0.628 (multiplicity 2)
O 0.238 0.204 0.375 (multiplicity 2)
O 0.238 0.204 0.875 (multiplicity 2)
O 0.250 0.796 0.379 (multiplicity 2)
O 0.251 0.796 0.880 (multiplicity 2)
O 0.254 0.464 0.128 (multiplicity 2)
O 0.254 0.464 0.627 (multiplicity 2)
O 0.256 0.036 0.627 (multiplicity 2)
O 0.256 0.037 0.127 (multiplicity 2)

The 10 most intense peaks (15 to 90 degrees two-theta), low angle first:
two_theta, Rel. int., index
24.20, 100, 1 1 0
35.50, 14, 1 3 0
36.48, 19, 0 4 0
36.80, 8, 1 2 -2
36.99, 9, 1 2 2
45.78, 25, 2 0 0
51.81, 17, 1 5 0
52.30, 10, 2 1 -2
52.58, 11, 2 1 2
59.90, 15, 2 4 0

---

(2)
Diffraction record for NbVO4. The powder XRD pattern is theoretical, not measured: it uses DFT lattice parameters and positions (PBE+U) and Cu Kα.
No peak broadening, texture or thermal motion is included.

Cell lengths 4.960, 4.960, 10.397 Å; angles 90.00, 90.00, 90.00 degrees
Space group I4_1/a (No. 88, origin choice 2)
Unique sites:
Nb 0.000 0.250 0.125 (multiplicity 4)
V 0.000 0.250 0.625 (multiplicity 4)
O 0.235 0.486 0.286 (multiplicity 16)

The 10 most intense peaks (15 to 90 degrees two-theta), low angle first:
two_theta, Rel. int., index
19.83, 16, 1 0 1
30.75, 100, 1 1 2
34.51, 9, 0 0 4
36.22, 10, 2 0 0
50.89, 36, 2 0 4
52.16, 20, 2 2 0
59.50, 14, 1 1 6
61.78, 25, 3 1 2
64.05, 7, 2 2 4
83.05, 10, 1 3 6

---

(3)
Diffraction record for NbVO4. The powder XRD pattern is theoretical, not measured: it uses DFT lattice parameters and positions (PBE+U) and Cu Kα.
No peak broadening, texture or thermal motion is included.

Cell lengths 4.654, 4.892, 12.516 Å; angles 90.00, 111.68, 90.00 degrees
Space group P2_1/c (No. 14)
Unique sites:
Nb 0.175 0.242 0.176 (multiplicity 4)
V 0.439 0.247 0.439 (multiplicity 4)
O 0.085 0.073 0.313 (multiplicity 4)
O 0.196 0.581 0.439 (multiplicity 4)
O 0.319 0.082 0.562 (multiplicity 4)
O 0.461 0.578 0.687 (multiplicity 4)

The 10 most intense peaks (15 to 90 degrees two-theta), low angle first:
two_theta, Rel. int., index
23.77, 11, 0 1 2
27.54, 100, 1 1 -2
30.00, 44, 1 0 2
35.93, 26, 0 1 4
36.74, 12, 0 2 0
48.14, 25, 1 2 -4
53.76, 18, 2 1 2
53.89, 18, 2 1 -6
54.42, 19, 2 2 -2
65.64, 13, 0 3 4

---

(4)
Diffraction record for NbVO4. The powder XRD pattern is theoretical, not measured: it uses DFT lattice parameters and positions (PBE+U) and Cu Kα.
No peak broadening, texture or thermal motion is included.

Cell lengths 3.948, 5.655, 14.912 Å; angles 89.39, 82.57, 69.84 degrees
Space group P1 (No. 1)
Unique sites:
Nb 0.000 0.000 0.000 (multiplicity 1)
Nb 0.001 0.252 0.751 (multiplicity 1)
Nb 0.005 0.753 0.251 (multiplicity 1)
Nb 0.007 0.497 0.500 (multiplicity 1)
V 0.263 0.436 0.069 (multiplicity 1)
V 0.267 0.187 0.317 (multiplicity 1)
V 0.270 0.933 0.569 (multiplicity 1)
V 0.274 0.684 0.818 (multiplicity 1)
O 0.053 0.806 0.120 (multiplicity 1)
O 0.054 0.560 0.369 (multiplicity 1)
O 0.057 0.308 0.621 (multiplicity 1)
O 0.059 0.060 0.871 (multiplicity 1)
O 0.208 0.642 0.953 (multiplicity 1)
O 0.210 0.890 0.705 (multiplicity 1)
O 0.212 0.141 0.455 (multiplicity 1)
O 0.212 0.388 0.204 (multiplicity 1)
O 0.474 0.059 0.017 (multiplicity 1)
O 0.476 0.815 0.261 (multiplicity 1)
O 0.478 0.311 0.766 (multiplicity 1)
O 0.478 0.558 0.515 (multiplicity 1)
O 0.807 0.358 0.053 (multiplicity 1)
O 0.810 0.102 0.309 (multiplicity 1)
O 0.812 0.855 0.554 (multiplicity 1)
O 0.813 0.607 0.803 (multiplicity 1)

The 10 most intense peaks (15 to 90 degrees two-theta), low angle first:
two_theta, Rel. int., index
24.09, 45, 0 0 4
24.22, 100, 0 1 -3
24.33, 52, 1 1 1
36.40, 36, 0 2 2
36.92, 17, 1 -1 3
45.67, 25, 0 1 -7
45.98, 24, 2 1 1
51.60, 16, -1 2 2
51.87, 18, 1 3 3
52.42, 15, 1 0 8

---

Copy entry 3 word for word.
Diffraction record for NbVO4. The powder XRD pattern is theoretical, not measured: it uses DFT lattice parameters and positions (PBE+U) and Cu Kα.
No peak broadening, texture or thermal motion is included.

Cell lengths 4.654, 4.892, 12.516 Å; angles 90.00, 111.68, 90.00 degrees
Space group P2_1/c (No. 14)
Unique sites:
Nb 0.175 0.242 0.176 (multiplicity 4)
V 0.439 0.247 0.439 (multiplicity 4)
O 0.085 0.073 0.313 (multiplicity 4)
O 0.196 0.581 0.439 (multiplicity 4)
O 0.319 0.082 0.562 (multiplicity 4)
O 0.461 0.578 0.687 (multiplicity 4)

The 10 most intense peaks (15 to 90 degrees two-theta), low angle first:
two_theta, Rel. int., index
23.77, 11, 0 1 2
27.54, 100, 1 1 -2
30.00, 44, 1 0 2
35.93, 26, 0 1 4
36.74, 12, 0 2 0
48.14, 25, 1 2 -4
53.76, 18, 2 1 2
53.89, 18, 2 1 -6
54.42, 19, 2 2 -2
65.64, 13, 0 3 4